(1)
The following is a computed powder X-ray diffraction pattern of Na2Tl4CdPb. It was derived from a crystal structure in Alexandria, relaxed with GGA-PBE, using a wavelength of 1.5418 Å.
No peak broadening, texture or thermal motion is included.

Peak list (10 most intense, 10 to 80 degrees two-theta, sorted by position)
| d (Å) | two_theta | I (rel.) |
| --- | --- | --- |
| 5.812 | 15.2 | 323 |
| 4.089 | 21.7 | 466 |
| 3.483 | 25.6 | 340 |
| 3.033 | 29.5 | 541 |
| 2.944 | 30.4 | 942 |
| 2.731 | 32.8 | 1000 |
| 2.435 | 36.9 | 493 |
| 2.332 | 38.6 | 274 |
| 2.058 | 44.0 | 340 |
| 1.572 | 58.8 | 317 |

Crystal structure
a = 4.869 Å, b = 12.441 Å, c = 16.319 Å
α = 90.00°, β = 90.00°, γ = 90.00°
Space group Cmcm (No. 63)
Inequivalent atoms, fractional coordinates:
Na 0.000 0.195 0.085 x8
Tl 0.000 0.056 0.250 x4
Tl 0.000 0.115 0.603 x8
Tl 0.000 0.500 0.000 x4
Cd 0.000 0.300 0.750 x4
Pb 0.000 0.373 0.250 x4

(2)
The following is a computed powder X-ray diffraction pattern of Na2TlCdPb. It was derived from a crystal structure in Alexandria, relaxed with GGA-PBE, using a wavelength of 1.5418 Å.
No peak broadening, texture or thermal motion is included.

Peak list (10 most intense, 10 to 80 degrees two-theta, sorted by position)
| d (Å) | two_theta | I (rel.) |
| --- | --- | --- |
| 4.970 | 17.8 | 539 |
| 4.167 | 21.3 | 297 |
| 2.809 | 31.9 | 1000 |
| 2.623 | 34.2 | 821 |
| 2.604 | 34.4 | 275 |
| 1.923 | 47.3 | 174 |
| 1.911 | 47.6 | 254 |
| 1.547 | 59.8 | 220 |
| 1.507 | 61.5 | 152 |
| 1.410 | 66.3 | 149 |

Crystal structure
a = 3.261 Å, b = 5.207 Å, c = 16.670 Å
α = 90.00°, β = 90.00°, γ = 90.00°
Space group Imm2 (No. 44)
Inequivalent atoms, fractional coordinates:
Na 0.000 0.000 0.000 x2
Na 0.000 0.500 0.299 x2
Tl 0.000 0.000 0.416 x2
Cd 0.000 0.500 0.106 x2
Pb 0.000 0.500 0.694 x2

(3)
The following is a computed powder X-ray diffraction pattern of NaTl5CdPb2. It was derived from a crystal structure in Alexandria, relaxed with GGA-PBE, using a wavelength of 1.5418 Å.
No peak broadening, texture or thermal motion is included.

Peak list (10 most intense, 10 to 80 degrees two-theta, sorted by position)
| d (Å) | two_theta | I (rel.) |
| --- | --- | --- |
| 2.834 | 31.6 | 846 |
| 2.794 | 32.0 | 1000 |
| 2.724 | 32.9 | 493 |
| 2.550 | 35.2 | 314 |
| 2.148 | 42.1 | 185 |
| 1.862 | 48.9 | 234 |
| 1.687 | 54.4 | 216 |
| 1.593 | 57.9 | 177 |
| 1.586 | 58.2 | 182 |
| 1.442 | 64.6 | 273 |

Crystal structure
a = 3.368 Å, b = 16.347 Å, c = 9.908 Å
α = 90.00°, β = 99.77°, γ = 90.00°
Space group P2_1 (No. 4)
Inequivalent atoms, fractional coordinates:
Na 0.039 0.000 0.077 x2
Tl 0.037 0.681 0.074 x2
Tl 0.195 0.345 0.390 x2
Tl 0.205 0.008 0.410 x2
Tl 0.206 0.684 0.413 x2
Tl 0.469 0.845 0.936 x2
Cd 0.368 0.346 0.735 x2
Pb 0.373 0.018 0.750 x2
Pb 0.378 0.670 0.756 x2

(4)
The following is a computed powder X-ray diffraction pattern of Na16Cd12Pd. It was derived from a crystal structure in Alexandria, relaxed with GGA-PBE, using a wavelength of 1.5418 Å.
No peak broadening, texture or thermal motion is included.

Peak list (10 most intense, 10 to 80 degrees two-theta, sorted by position)
| d (Å) | two_theta | I (rel.) |
| --- | --- | --- |
| 8.054 | 11.0 | 517 |
| 4.869 | 18.2 | 1000 |
| 4.718 | 18.8 | 763 |
| 4.688 | 18.9 | 999 |
| 2.734 | 32.8 | 842 |
| 2.716 | 33.0 | 566 |
| 2.693 | 33.3 | 652 |
| 2.553 | 35.1 | 614 |
| 2.454 | 36.6 | 809 |
| 2.436 | 36.9 | 847 |

Crystal structure
a = 11.640 Å, b = 16.049 Å, c = 9.995 Å
α = 90.00°, β = 123.22°, γ = 90.00°
Space group Cm (No. 8)
Inequivalent atoms, fractional coordinates:
Na 0.000 0.000 0.000 x2
Na 0.010 0.000 0.369 x2
Na 0.033 0.309 0.673 x4
Na 0.059 0.387 0.395 x4
Na 0.210 0.207 0.042 x4
Na 0.314 0.000 0.071 x2
Na 0.328 0.320 0.372 x4
Na 0.354 0.340 0.779 x4
Na 0.406 0.000 0.686 x2
Na 0.449 0.146 0.959 x4
Cd 0.000 0.191 0.187 x4
Cd 0.106 0.093 0.721 x4
Cd 0.167 0.500 0.207 x2
Cd 0.198 0.185 0.546 x4
Cd 0.242 0.408 0.997 x4
Cd 0.260 0.091 0.336 x4
Cd 0.331 0.500 0.571 x2
Pd 0.192 0.500 0.729 x2

(5)
The following is a computed powder X-ray diffraction pattern of Na6Cd2Pd. It was derived from a crystal structure in Alexandria, relaxed with GGA-PBE, using a wavelength of 1.5418 Å.
No peak broadening, texture or thermal motion is included.

Peak list (10 most intense, 10 to 80 degrees two-theta, sorted by position)
| d (Å) | two_theta | I (rel.) |
| --- | --- | --- |
| 4.546 | 19.5 | 1000 |
| 4.406 | 20.2 | 360 |
| 2.654 | 33.8 | 862 |
| 2.569 | 34.9 | 549 |
| 2.402 | 37.4 | 224 |
| 2.292 | 39.3 | 165 |
| 1.851 | 49.2 | 285 |
| 1.846 | 49.4 | 177 |
| 1.532 | 60.4 | 148 |
| 1.515 | 61.2 | 189 |

Crystal structure
a = 5.3072 Å, b = 5.3072 Å, c = 30.9850 Å
α = 90.00°, β = 90.00°, γ = 120.00°
Space group R-3m (No. 166, hexagonal axes)
Inequivalent atoms, fractional coordinates:
Na 0.0000 0.0000 0.0853 x6
Na 0.0000 0.0000 0.1928 x6
Na 0.0000 0.0000 0.3078 x6
Cd 0.0000 0.0000 0.4129 x6
Pd 0.0000 0.0000 0.5000 x3

(6)
The following is a computed powder X-ray diffraction pattern of Na2Cd2Pd3. It was derived from a crystal structure in Alexandria, relaxed with GGA-PBE, using a wavelength of 1.5418 Å.
No peak broadening, texture or thermal motion is included.

Peak list (10 most intense, 10 to 80 degrees two-theta, sorted by position)
| d (Å) | two_theta | I (rel.) |
| --- | --- | --- |
| 7.734 | 11.4 | 1000 |
| 3.040 | 29.4 | 149 |
| 2.558 | 35.1 | 142 |
| 2.353 | 38.3 | 577 |
| 2.323 | 38.8 | 809 |
| 2.225 | 40.5 | 274 |
| 1.726 | 53.1 | 125 |
| 1.653 | 55.6 | 188 |
| 1.347 | 69.8 | 184 |
| 1.341 | 70.2 | 132 |

Crystal structure
a = 8.043 Å, b = 4.648 Å, c = 8.181 Å
α = 90.00°, β = 109.03°, γ = 90.00°
Space group C2/m (No. 12)
Inequivalent atoms, fractional coordinates:
Na 0.130 0.000 0.391 x4
Cd 0.115 0.500 0.844 x4
Pd 0.000 0.000 0.000 x2
Pd 0.234 0.500 0.200 x4